Record 1
Diffraction record for KMg6Nb. The PXRD pattern is calculated, not measured: it uses the GGA-PBE geometry in Alexandria and λ = 1.5418 Å (Cu Kα).
Peak positions follow from Bragg's law for the DFT cell and can differ from measured ones.

Cell and atoms:
```
data_KMg6Nb
_chemical_formula_sum 'K1 Mg6 Nb1'
_symmetry_space_group_name_H-M 'P 4/m m m'
_symmetry_Int_Tables_number 123
_symmetry_space_group_name_Hall '-P 4 2'
_cell_length_a 6.6685
_cell_length_b 6.6685
_cell_length_c 4.4397
_cell_angle_alpha 90.00
_cell_angle_beta 90.00
_cell_angle_gamma 90.00
loop_
_atom_site_label
_atom_site_fract_x
_atom_site_fract_y
_atom_site_fract_z
K1 0.0000 0.0000 0.0000
Mg1 0.0000 0.5000 0.0000
Mg2 0.2802 0.2802 0.5000
Nb1 0.5000 0.5000 0.0000
```

Largest 12 diffraction maxima, by angle, 15° ≤ 2θ ≤ 90°:
18.8°, d = 4.715 Å, I 22, (1 1 0); 26.7°, d = 3.334 Å, I 10, (2 0 0); 27.6°, d = 3.232 Å, I 14, (1 1 1); 33.6°, d = 2.666 Å, I 100, (2 0 1); 36.3°, d = 2.476 Å, I 11, (2 1 1); 38.2°, d = 2.358 Å, I 33, (2 2 0); 40.6°, d = 2.220 Å, I 15, (0 0 2); 55.1°, d = 1.667 Å, I 10, (4 0 0); 57.0°, d = 1.616 Å, I 21, (2 2 2); 66.1°, d = 1.413 Å, I 22, (4 2 1); 69.5°, d = 1.353 Å, I 11, (2 0 3); 70.7°, d = 1.333 Å, I 10, (4 0 2)

=====

Record 2
Diffraction record for K9In9GeSb22. The PXRD pattern is calculated, not measured: it uses the GGA-PBE geometry in Alexandria and λ = 1.5418 Å (Cu Kα).
Peak positions follow from Bragg's law for the DFT cell and can differ from measured ones.

Cell and atoms:
```
data_K9In9GeSb22
_chemical_formula_sum 'K9 In9 Ge1 Sb22'
_symmetry_space_group_name_H-M 'P 1'
_symmetry_Int_Tables_number 1
_cell_length_a 11.5173
_cell_length_b 11.8722
_cell_length_c 13.3008
_cell_angle_alpha 112.50
_cell_angle_beta 113.31
_cell_angle_gamma 91.74
loop_
_symmetry_equiv_pos_as_xyz
'x,y,z'
loop_
_atom_site_label
_atom_site_fract_x
_atom_site_fract_y
_atom_site_fract_z
K1 0.0000 0.0000 0.0000
K2 0.0003 0.0211 0.6479
K3 0.0063 0.9850 0.3176
K4 0.2530 0.3546 0.2027
K5 0.2551 0.3397 0.5237
K6 0.2611 0.3205 0.8748
K7 0.5650 0.6587 0.8982
K8 0.6724 0.6663 0.2659
K9 0.6830 0.6673 0.6204
In1 0.3666 0.9088 0.0933
In2 0.3727 0.9489 0.4313
In3 0.3796 0.9122 0.7322
In4 0.5553 0.2353 0.4246
In5 0.7038 0.0953 0.0962
In6 0.7218 0.0811 0.7596
In7 0.8776 0.4250 0.7932
In8 0.8834 0.3848 0.0869
In9 0.8867 0.4252 0.4273
Ge1 0.5528 0.2321 0.7572
Sb1 0.0021 0.6848 0.4960
Sb2 0.0029 0.3612 0.6322
Sb3 0.0433 0.7527 0.7420
Sb4 0.2067 0.5851 0.7817
Sb5 0.2495 0.9754 0.8895
Sb6 0.2515 0.6513 0.0292
Sb7 0.2592 0.6834 0.3247
Sb8 0.2607 0.6593 0.5350
Sb9 0.3012 0.0758 0.2763
Sb10 0.3100 0.0902 0.6285
Sb11 0.5129 0.2468 0.0827
Sb12 0.5987 0.3955 0.6721
Sb13 0.6092 0.3959 0.9901
Sb14 0.6097 0.4125 0.3356
Sb15 0.6401 0.9181 0.5063
Sb16 0.6428 0.9188 0.1796
Sb17 0.6534 0.9218 0.8538
Sb18 0.7429 0.0793 0.4318
Sb19 0.9548 0.2613 0.2450
Sb20 0.9661 0.2559 0.9026
Sb21 0.9842 0.6536 0.1936
Sb22 0.9921 0.6802 0.9873
```

Largest 12 diffraction maxima, by angle, 15° ≤ 2θ ≤ 90°:
20.2°, d = 4.389 Å, I 21, (1 2 0); 24.9°, d = 3.571 Å, I 28, (0 3 0); 25.4°, d = 3.506 Å, I 33, (3 -1 0); 25.9°, d = 3.440 Å, I 100, (3 0 0); 26.3°, d = 3.393 Å, I 68, (-1 1 3); 26.4°, d = 3.374 Å, I 47, (-2 1 3); 27.4°, d = 3.255 Å, I 24, (2 1 -4); 28.1°, d = 3.172 Å, I 22, (1 3 0); 29.3°, d = 3.046 Å, I 25, (1 -3 3); 35.2°, d = 2.550 Å, I 27, (4 -2 0); 38.0°, d = 2.366 Å, I 27, (-4 2 3); 40.7°, d = 2.217 Å, I 54, (2 2 -6)

=====

Record 3
Diffraction record for Hg. The PXRD pattern is calculated, not measured: it uses the GGA-PBE geometry in Alexandria and λ = 1.5418 Å (Cu Kα).
Peak positions follow from Bragg's law for the DFT cell and can differ from measured ones.

Cell and atoms:
```
data_Hg
_chemical_formula_sum 'Hg2'
_symmetry_space_group_name_H-M 'I 4/m m m'
_symmetry_Int_Tables_number 139
_symmetry_space_group_name_Hall '-I 4 2'
_cell_length_a 3.6592
_cell_length_b 3.6592
_cell_length_c 4.1998
_cell_angle_alpha 90.00
_cell_angle_beta 90.00
_cell_angle_gamma 90.00
loop_
_atom_site_label
_atom_site_fract_x
_atom_site_fract_y
_atom_site_fract_z
Hg1 0.0000 0.0000 0.0000
```

Largest 12 diffraction maxima, by angle, 15° ≤ 2θ ≤ 90°:
32.5°, d = 2.759 Å, I 100, (1 0 1); 34.7°, d = 2.587 Å, I 42, (1 1 0); 43.1°, d = 2.100 Å, I 12, (0 0 2); 49.8°, d = 1.830 Å, I 15, (2 0 0); 56.4°, d = 1.630 Å, I 21, (1 1 2); 60.7°, d = 1.525 Å, I 34, (2 1 1); 68.0°, d = 1.379 Å, I 12, (2 0 2); 72.3°, d = 1.308 Å, I 10, (1 0 3); 73.2°, d = 1.294 Å, I 5, (2 2 0); 82.3°, d = 1.171 Å, I 8, (3 0 1); 83.6°, d = 1.157 Å, I 7, (3 1 0); 88.8°, d = 1.101 Å, I 6, (2 2 2)